For Li6TiFe3P6O24, a cell relaxed with PBE+U gives the theoretical XRD peak list in this record (λ = 1.5418 Å (Cu Kα)).

Principal peaks in the range 2θ = 10–80°, low angle first:
| Position (°2θ) | I (rel.) |
| --- | --- |
| 14.4 | 31.5 |
| 20.1 | 38.3 |
| 20.6 | 50.0 |
| 20.7 | 23.3 |
| 23.8 | 100.0 |
| 24.0 | 49.0 |
| 28.9 | 27.1 |
| 32.7 | 29.7 |
| 32.9 | 18.9 |
| 35.2 | 24.0 |

Atomic structure:
a = 8.577 Å, b = 8.635 Å, c = 8.640 Å
α = 61.62°, β = 61.75°, γ = 61.60°
Positions (direct):
Li 0.000 0.000 0.000
Li 0.093 0.512 0.865
Li 0.267 0.860 0.645
Li 0.465 0.704 0.306
Li 0.720 0.357 0.145
Li 0.901 0.075 0.499
Ti 0.896 0.506 0.304
Fe 0.098 0.708 0.503
Fe 0.393 0.003 0.789
Fe 0.600 0.218 0.006
P 0.199 0.112 0.189
P 0.301 0.611 0.104
P 0.503 0.398 0.608
P 0.697 0.913 0.406
P 0.790 0.817 0.910
P 0.999 0.309 0.706
O 0.009 0.276 0.224
O 0.060 0.459 0.684
O 0.130 0.546 0.169
O 0.154 0.116 0.714
O 0.185 0.954 0.378
O 0.208 0.067 0.031
O 0.281 0.781 0.925
O 0.285 0.667 0.255
O 0.342 0.587 0.592
O 0.368 0.165 0.136
O 0.453 0.235 0.637
O 0.488 0.454 0.072
O 0.507 0.917 0.562
O 0.568 0.355 0.764
O 0.616 0.858 0.870
O 0.662 0.429 0.413
O 0.688 0.093 0.236
O 0.757 0.740 0.347
O 0.772 0.972 0.965
O 0.815 0.624 0.072
O 0.843 0.280 0.897
O 0.847 0.891 0.470
O 0.936 0.366 0.538
O 0.976 0.792 0.748